The following is a theoretical X-ray diffraction stick pattern of Ba2SmMnO6. It was derived from the GGA+U geometry in the Materials Project, using λ = 1.5418 Å (Cu Kα).

Main lines, by angle (2θ from 10° to 90°):
2θ = 18.16°, I = 69
2θ = 29.87°, I = 1000
2θ = 35.18°, I = 64
2θ = 36.80°, I = 46
2θ = 42.75°, I = 304
2θ = 53.02°, I = 395
2θ = 62.05°, I = 186
2θ = 70.38°, I = 179
2θ = 78.29°, I = 61
2θ = 85.98°, I = 213

Cell and atoms:
abc: 8.4610 8.4610 8.4610
angles: 90.00 90.00 90.00
Space group Fm-3m (No. 225)
Asymmetric unit:
Ba (0.2500, 0.2500, 0.2500) (multiplicity 8)
Sm (0.0000, 0.0000, 0.0000) (multiplicity 4)
Mn (0.0000, 0.0000, 0.5000) (multiplicity 4)
O (0.0000, 0.0000, 0.2708) (multiplicity 24)

=====

The following is a theoretical X-ray diffraction stick pattern of Ba2MnSnO6. It was derived from the GGA+U geometry in the Materials Project, using λ = 1.5418 Å (Cu Kα).

Main lines, by angle (2θ from 10° to 90°):
2θ = 18.81°, I = 45
2θ = 30.95°, I = 1000
2θ = 36.46°, I = 35
2θ = 38.14°, I = 75
2θ = 44.33°, I = 316
2θ = 55.05°, I = 399
2θ = 64.50°, I = 194
2θ = 73.25°, I = 177
2θ = 81.61°, I = 66
2θ = 89.80°, I = 222

Cell and atoms:
abc: 8.1728 8.1728 8.1728
angles: 90.00 90.00 90.00
Space group Fm-3m (No. 225)
Asymmetric unit:
Ba (0.2500, 0.2500, 0.2500) (multiplicity 8)
Mn (0.0000, 0.0000, 0.0000) (multiplicity 4)
Sn (0.0000, 0.0000, 0.5000) (multiplicity 4)
O (0.0000, 0.0000, 0.2429) (multiplicity 24)

=====

The following is a theoretical X-ray diffraction stick pattern of BaSrMn4O12. It was derived from the GGA+U geometry in the Materials Project, using λ = 1.5418 Å (Cu Kα).

Main lines, by angle (2θ from 10° to 90°):
2θ = 19.91°, I = 790
2θ = 32.80°, I = 1000
2θ = 38.66°, I = 429
2θ = 47.03°, I = 322
2θ = 47.13°, I = 159
2θ = 51.58°, I = 185
2θ = 58.55°, I = 377
2θ = 62.46°, I = 105
2θ = 68.75°, I = 267
2θ = 78.24°, I = 108

Cell and atoms:
abc: 5.4651 5.4651 7.7132
angles: 90.00 90.00 90.00
Space group P4/mmm (No. 123)
Asymmetric unit:
Ba (0.0000, 0.0000, 0.0000) (multiplicity 1)
Sr (0.5000, 0.5000, 0.5000) (multiplicity 1)
Mn (0.0000, 0.5000, 0.2520) (multiplicity 4)
O (0.0000, 0.5000, 0.0000) (multiplicity 2)
O (0.0000, 0.5000, 0.5000) (multiplicity 2)
O (0.2558, 0.2558, 0.2567) (multiplicity 8)

=====

The following is a theoretical X-ray diffraction stick pattern of BaSr3Mn3O10. It was derived from the GGA+U geometry in the Materials Project, using λ = 1.5418 Å (Cu Kα).

Main lines, by angle (2θ from 10° to 90°):
2θ = 27.00°, I = 504
2θ = 27.59°, I = 718
2θ = 29.70°, I = 767
2θ = 29.81°, I = 862
2θ = 31.89°, I = 1000
2θ = 33.56°, I = 441
2θ = 33.70°, I = 503
2θ = 42.67°, I = 808
2θ = 42.92°, I = 482
2θ = 43.09°, I = 422

Cell and atoms:
abc: 12.7659 5.6122 12.9313
angles: 90.00 90.31 90.00
Space group C2/m (No. 12)
Asymmetric unit:
Ba (0.0340, 0.0000, 0.1448) (multiplicity 4)
Sr (0.0304, 0.5000, 0.3577) (multiplicity 4)
Sr (0.2404, 0.5000, 0.1095) (multiplicity 4)
Sr (0.2408, 0.0000, 0.3906) (multiplicity 4)
Mn (0.0000, 0.0000, 0.5000) (multiplicity 2)
Mn (0.0000, 0.5000, 0.0000) (multiplicity 2)
Mn (0.1302, 0.5000, 0.8475) (multiplicity 4)
Mn (0.1328, 0.0000, 0.6515) (multiplicity 4)
O (0.0370, 0.5000, 0.1454) (multiplicity 4)
O (0.0376, 0.0000, 0.3567) (multiplicity 4)
O (0.1073, 0.2272, 0.5380) (multiplicity 8)
O (0.1092, 0.2769, 0.9630) (multiplicity 8)
O (0.1205, 0.2530, 0.7476) (multiplicity 8)
O (0.2244, 0.5000, 0.3530) (multiplicity 4)
O (0.2296, 0.0000, 0.1466) (multiplicity 4)